The following is a theoretical XRD peak list of PrDy7Tm3. It was derived from a DFT-relaxed cell (GGA-PBE, Alexandria), using Cu Kα (weighted mean of Kα1 and Kα2).
Intensities are scaled so that the largest is 100.

Cell and atoms:
```
PrDy7Tm3
1.0
6.9267 0.0000 0.0000
0.0000 5.5297 0.0000
-3.2694 0.0000 9.2713
Pr Dy Tm
1 7 3
Direct
0.0000 0.0000 0.0000
0.0000 0.0000 0.5000
0.1471 0.5000 0.7899
0.3277 0.5000 0.1436
0.4263 0.0000 0.3325
0.5737 0.0000 0.6675
0.6723 0.5000 0.8564
0.8529 0.5000 0.2101
0.2760 0.5000 0.4960
0.5000 0.0000 0.0000
0.7240 0.5000 0.5040
```

Most intense lines, 10° ≤ 2θ ≤ 90°, low angle first:
- 2θ 31.59, d = 2.833 Å, I 35
- 2θ 31.82, d = 2.812 Å, I 100
- 2θ 31.98, d = 2.799 Å, I 77
- 2θ 32.16, d = 2.784 Å, I 89
- 2θ 32.38, d = 2.765 Å, I 96
- 2θ 32.60, d = 2.747 Å, I 30
- 2θ 33.21, d = 2.698 Å, I 99
- 2θ 46.63, d = 1.948 Å, I 29
- 2θ 57.58, d = 1.601 Å, I 27
- 2θ 63.35, d = 1.468 Å, I 40

---

The following is a theoretical XRD peak list of K5AgAu. It was derived from a DFT-relaxed cell (GGA-PBE, Alexandria), using Cu Kα (weighted mean of Kα1 and Kα2).
Intensities are scaled so that the largest is 100.

Cell and atoms:
```
K5AgAu
1.0
5.2853 -5.3994 0.0000
5.2853 5.3994 0.0000
-1.0599 0.0000 11.5819
K Ag Au
10 2 2
Direct
0.0670 0.6351 0.3410
0.1515 0.8485 0.7500
0.2430 0.3871 0.9912
0.3649 0.9330 0.1590
0.3871 0.2430 0.4912
0.6129 0.7570 0.5088
0.6351 0.0670 0.8410
0.7570 0.6129 0.0088
0.8485 0.1515 0.2500
0.9330 0.3649 0.6590
0.4867 0.5133 0.7500
0.5133 0.4867 0.2500
0.0000 0.0000 0.0000
0.0000 0.0000 0.5000
```

Most intense lines, 10° ≤ 2θ ≤ 90°, low angle first:
- 2θ 16.42, d = 5.399 Å, I 73
- 2θ 16.84, d = 5.263 Å, I 68
- 2θ 18.70, d = 4.744 Å, I 98
- 2θ 19.93, d = 4.454 Å, I 77
- 2θ 23.61, d = 3.769 Å, I 69
- 2θ 29.72, d = 3.006 Å, I 68
- 2θ 30.86, d = 2.898 Å, I 100
- 2θ 32.10, d = 2.789 Å, I 51
- 2θ 35.17, d = 2.552 Å, I 49
- 2θ 38.07, d = 2.364 Å, I 59

---

The following is a theoretical XRD peak list of Cs2Se4S5. It was derived from a DFT-relaxed cell (GGA-PBE, Alexandria), using Cu Kα (weighted mean of Kα1 and Kα2).
Intensities are scaled so that the largest is 100.

Cell and atoms:
```
Cs2Se4S5
1.0
5.9975 0.0000 0.0000
1.6987 6.7415 0.0000
0.4536 0.1924 10.9270
Cs Se S
2 4 5
Direct
0.0000 0.0000 0.0000
0.3576 0.5429 0.2908
0.4095 0.3964 0.7323
0.5652 0.6705 0.7841
0.7505 0.8558 0.4351
0.8997 0.0959 0.5408
0.2257 0.0833 0.2885
0.5743 0.9912 0.2677
0.5814 0.6865 0.9876
0.7050 0.1320 0.7205
0.8688 0.5168 0.0623
```

Most intense lines, 10° ≤ 2θ ≤ 90°, low angle first:
- 2θ 17.55, d = 5.054 Å, I 67
- 2θ 21.11, d = 4.208 Å, I 91
- 2θ 21.92, d = 4.054 Å, I 91
- 2θ 22.50, d = 3.951 Å, I 93
- 2θ 22.74, d = 3.911 Å, I 100
- 2θ 26.45, d = 3.370 Å, I 28
- 2θ 28.08, d = 3.178 Å, I 74
- 2θ 28.68, d = 3.112 Å, I 25
- 2θ 32.78, d = 2.732 Å, I 38
- 2θ 37.70, d = 2.386 Å, I 35

---

The following is a theoretical XRD peak list of CaReP2. It was derived from a DFT-relaxed cell (GGA-PBE, Alexandria), using Cu Kα (weighted mean of Kα1 and Kα2).
Intensities are scaled so that the largest is 100.

Cell and atoms:
```
CaReP2
1.0
3.6730 -1.6697 0.0000
3.6730 1.6697 0.0000
-1.8707 0.0000 6.3585
Ca Re P
1 1 2
Direct
0.0000 0.0000 0.0000
0.7296 0.7296 0.4447
0.2272 0.2272 0.7025
0.4025 0.4025 0.3138
```

Most intense lines, 10° ≤ 2θ ≤ 90°, low angle first:
- 2θ 13.93, d = 6.358 Å, I 100
- 2θ 25.23, d = 3.530 Å, I 60
- 2θ 28.07, d = 3.179 Å, I 25
- 2θ 29.60, d = 3.018 Å, I 23
- 2θ 31.23, d = 2.864 Å, I 41
- 2θ 32.34, d = 2.769 Å, I 30
- 2θ 34.40, d = 2.607 Å, I 32
- 2θ 38.57, d = 2.334 Å, I 45
- 2θ 46.09, d = 1.969 Å, I 19
- 2θ 49.45, d = 1.843 Å, I 22

---

The following is a theoretical XRD peak list of PuTh14Sc. It was derived from a DFT-relaxed cell (GGA-PBE, Alexandria), using Cu Kα (weighted mean of Kα1 and Kα2).
Intensities are scaled so that the largest is 100.

Cell and atoms:
```
PuTh14Sc
1.0
11.4766 0.0000 0.0000
0.0000 3.5718 6.1420
0.0000 -3.5718 6.1420
Pu Th Sc
1 14 1
Direct
0.0000 0.0000 0.0000
0.0000 0.0031 0.5067
0.0000 0.5067 0.0031
0.2446 0.3326 0.8315
0.2446 0.8315 0.3326
0.2484 0.3345 0.3345
0.2493 0.8335 0.8335
0.5000 0.1656 0.1656
0.5000 0.1662 0.6661
0.5000 0.6653 0.6653
0.5000 0.6661 0.1662
0.7507 0.8335 0.8335
0.7516 0.3345 0.3345
0.7554 0.3326 0.8315
0.7554 0.8315 0.3326
0.0000 0.5002 0.5002
```

Most intense lines, 10° ≤ 2θ ≤ 90°, low angle first:
- 2θ 29.97, d = 2.982 Å, I 35
- 2θ 30.12, d = 2.967 Å, I 19
- 2θ 31.17, d = 2.869 Å, I 48
- 2θ 32.94, d = 2.719 Å, I 100
- 2θ 33.08, d = 2.708 Å, I 46
- 2θ 37.43, d = 2.403 Å, I 20
- 2θ 51.45, d = 1.776 Å, I 24
- 2θ 56.63, d = 1.625 Å, I 32
- 2θ 61.39, d = 1.510 Å, I 29
- 2θ 62.28, d = 1.491 Å, I 15

---

The following is a theoretical XRD peak list of Nd2AlCd3. It was derived from a DFT-relaxed cell (GGA-PBE, Alexandria), using Cu Kα (weighted mean of Kα1 and Kα2).
Intensities are scaled so that the largest is 100.

Cell and atoms:
```
Nd2AlCd3
1.0
3.6518 0.0000 0.0000
0.0000 4.9242 0.0000
0.0000 0.0000 8.5199
Nd Al Cd
2 1 3
Direct
0.0000 0.0000 0.0000
0.0000 0.5000 0.4843
0.5000 0.0000 0.3256
0.5000 0.0000 0.6532
0.5000 0.5000 0.1625
0.5000 0.5000 0.8243
```

Most intense lines, 10° ≤ 2θ ≤ 90°, low angle first:
- 2θ 20.84, d = 4.262 Å, I 10
- 2θ 32.28, d = 2.773 Å, I 100
- 2θ 36.51, d = 2.461 Å, I 67
- 2θ 49.52, d = 1.841 Å, I 29
- 2θ 49.95, d = 1.826 Å, I 9
- 2θ 63.07, d = 1.474 Å, I 28
- 2θ 63.44, d = 1.466 Å, I 26
- 2θ 65.72, d = 1.421 Å, I 11
- 2θ 86.54, d = 1.125 Å, I 11
- 2θ 86.87, d = 1.121 Å, I 11

---

The following is a theoretical XRD peak list of La6PmSm12. It was derived from a DFT-relaxed cell (GGA-PBE, Alexandria), using Cu Kα (weighted mean of Kα1 and Kα2).
Intensities are scaled so that the largest is 100.

Cell and atoms:
```
La6PmSm12
1.0
7.9929 4.6147 3.0018
-7.9929 4.6147 3.0018
0.0000 -9.2294 3.0018
La Pm Sm
6 1 12
Direct
0.0547 0.5788 0.3689
0.3689 0.0547 0.5788
0.4212 0.6311 0.9453
0.5788 0.3689 0.0547
0.6311 0.9453 0.4212
0.9453 0.4212 0.6311
0.0000 0.0000 0.0000
0.1052 0.1561 0.7378
0.1561 0.7378 0.1052
0.2099 0.3143 0.4716
0.2622 0.8948 0.8439
0.3143 0.4716 0.2099
0.4716 0.2099 0.3143
0.5284 0.7901 0.6857
0.6857 0.5284 0.7901
0.7378 0.1052 0.1561
0.7901 0.6857 0.5284
0.8439 0.2622 0.8948
0.8948 0.8439 0.2622
```

Most intense lines, 10° ≤ 2θ ≤ 90°, low angle first:
- 2θ 29.81, d = 2.997 Å, I 100
- 2θ 34.56, d = 2.595 Å, I 51
- 2θ 49.68, d = 1.835 Å, I 36
- 2θ 59.00, d = 1.565 Å, I 33
- 2θ 59.07, d = 1.564 Å, I 11
- 2θ 61.96, d = 1.498 Å, I 9
- 2θ 72.89, d = 1.298 Å, I 6
- 2θ 80.76, d = 1.190 Å, I 9
- 2θ 83.17, d = 1.161 Å, I 8
- 2θ 83.31, d = 1.160 Å, I 8

---

The following is a theoretical XRD peak list of SmP4Ir5. It was derived from a DFT-relaxed cell (GGA-PBE, Alexandria), using Cu Kα (weighted mean of Kα1 and Kα2).
Intensities are scaled so that the largest is 100.

Cell and atoms:
```
SmP4Ir5
1.0
6.9095 0.0000 0.0000
0.0000 10.4856 0.0000
0.0000 0.0000 4.5699
Sm P Ir
2 8 10
Direct
0.2500 0.2500 0.0149
0.7500 0.7500 0.9851
0.0178 0.7500 0.5104
0.2500 0.5314 0.7661
0.2500 0.9686 0.7661
0.4822 0.7500 0.5104
0.5178 0.2500 0.4896
0.7500 0.0314 0.2339
0.7500 0.4686 0.2339
0.9822 0.2500 0.4896
0.0535 0.5663 0.2483
0.0535 0.9337 0.2483
0.2500 0.7500 0.9023
0.4465 0.5663 0.2483
0.4465 0.9337 0.2483
0.5535 0.0663 0.7517
0.5535 0.4337 0.7517
0.7500 0.2500 0.0977
0.9465 0.0663 0.7517
0.9465 0.4337 0.7517
```

Most intense lines, 10° ≤ 2θ ≤ 90°, low angle first:
- 2θ 15.36, d = 5.770 Å, I 23
- 2θ 31.00, d = 2.885 Å, I 64
- 2θ 32.24, d = 2.776 Å, I 100
- 2θ 33.62, d = 2.665 Å, I 37
- 2θ 36.85, d = 2.439 Å, I 28
- 2θ 41.75, d = 2.164 Å, I 38
- 2θ 43.19, d = 2.095 Å, I 48
- 2θ 44.03, d = 2.057 Å, I 41
- 2θ 47.72, d = 1.906 Å, I 37
- 2θ 55.02, d = 1.669 Å, I 32

---

The following is a theoretical XRD peak list of Cs3RbCd. It was derived from a DFT-relaxed cell (GGA-PBE, Alexandria), using Cu Kα (weighted mean of Kα1 and Kα2).
Intensities are scaled so that the largest is 100.

Cell and atoms:
```
Cs3RbCd
1.0
16.8807 0.0000 0.0000
0.0000 16.8807 0.0000
0.0000 0.0000 5.8675
Cs Rb Cd
12 4 4
Direct
0.0011 0.3175 0.0000
0.1017 0.8983 0.5000
0.1825 0.5011 0.5000
0.3175 0.0011 0.0000
0.3983 0.3983 0.0000
0.4989 0.8175 0.5000
0.5011 0.1825 0.5000
0.6017 0.6017 0.0000
0.6825 0.9989 0.0000
0.8175 0.4989 0.5000
0.8983 0.1017 0.5000
0.9989 0.6825 0.0000
0.1886 0.1886 0.5000
0.3114 0.6886 0.0000
0.6886 0.3114 0.0000
0.8114 0.8114 0.5000
0.0648 0.0648 0.0000
0.4352 0.5648 0.5000
0.5648 0.4352 0.5000
0.9352 0.9352 0.0000
```

Most intense lines, 10° ≤ 2θ ≤ 90°, low angle first:
- 2θ 21.89, d = 4.061 Å, I 100
- 2θ 22.34, d = 3.979 Å, I 33
- 2θ 22.52, d = 3.949 Å, I 24
- 2θ 26.93, d = 3.311 Å, I 28
- 2θ 28.11, d = 3.174 Å, I 28
- 2θ 30.48, d = 2.933 Å, I 24
- 2θ 37.40, d = 2.405 Å, I 16
- 2θ 38.11, d = 2.361 Å, I 16
- 2θ 41.11, d = 2.196 Å, I 18
- 2θ 46.01, d = 1.972 Å, I 16

---

The following is a theoretical XRD peak list of Er3Ag. It was derived from a DFT-relaxed cell (GGA-PBE, Alexandria), using Cu Kα (weighted mean of Kα1 and Kα2).
Intensities are scaled so that the largest is 100.

Cell and atoms:
```
Er3Ag
1.0
-1.8443 5.5580 2.6521
1.8443 -5.5580 2.6521
1.8443 5.5580 -2.6521
Er Ag
3 1
Direct
0.0005 0.0005 0.0000
0.2832 0.5000 0.7832
0.7168 0.5000 0.2168
0.5012 0.0012 0.5000
```

Most intense lines, 10° ≤ 2θ ≤ 90°, low angle first:
- 2θ 29.41, d = 3.037 Å, I 10
- 2θ 32.21, d = 2.779 Å, I 16
- 2θ 33.72, d = 2.658 Å, I 100
- 2θ 47.38, d = 1.919 Å, I 11
- 2θ 49.42, d = 1.844 Å, I 7
- 2θ 58.39, d = 1.580 Å, I 7
- 2θ 60.40, d = 1.533 Å, I 15
- 2θ 61.21, d = 1.514 Å, I 8
- 2θ 70.87, d = 1.330 Å, I 7
- 2θ 82.35, d = 1.171 Å, I 7

---

The following is a theoretical XRD peak list of MnAl2Ni4. It was derived from a DFT-relaxed cell (GGA-PBE, Alexandria), using Cu Kα (weighted mean of Kα1 and Kα2).
Intensities are scaled so that the largest is 100.

Cell and atoms:
```
MnAl2Ni4
1.0
-2.5961 2.5961 3.3745
2.5961 -2.5961 3.3745
2.5961 2.5961 -3.3745
Mn Al Ni
1 2 4
Direct
0.0000 0.0000 0.0000
0.0000 0.5000 0.5000
0.5000 0.0000 0.5000
0.0000 0.0000 0.5000
0.0000 0.5000 0.0000
0.5000 0.0000 0.0000
0.5000 0.5000 0.5000
```

Most intense lines, 10° ≤ 2θ ≤ 90°, low angle first:
- 2θ 21.59, d = 4.115 Å, I 16
- 2θ 26.41, d = 3.374 Å, I 17
- 2θ 34.55, d = 2.596 Å, I 17
- 2θ 44.01, d = 2.058 Å, I 100
- 2θ 49.66, d = 1.836 Å, I 34
- 2θ 54.38, d = 1.687 Å, I 13
- 2θ 57.12, d = 1.613 Å, I 7
- 2θ 72.87, d = 1.298 Å, I 10
- 2θ 76.72, d = 1.242 Å, I 17
- 2θ 89.21, d = 1.098 Å, I 23